1.
For Er2Tm2Pb2C, a crystal structure in Alexandria, relaxed with GGA-PBE gives the computed XRD peak list in this record (copper Kα).
No peak broadening, texture or thermal motion is included.

Peak list (6 most intense, 10° ≤ 2θ ≤ 80°, low angle first)
| Position (°2θ) | intensity |
| --- | --- |
| 28.81 | 56 |
| 33.74 | 26 |
| 34.91 | 100 |
| 37.82 | 55 |
| 51.58 | 34 |
| 66.43 | 32 |

Atomic structure:
```
data_Er2Tm2Pb2C
_chemical_formula_sum 'Er4 Tm4 Pb4 C2'
_cell_length_a 4.7574
_cell_length_b 4.7574
_cell_length_c 15.9367
_cell_angle_alpha 90.00
_cell_angle_beta 90.00
_cell_angle_gamma 90.00
_space_group_name_H-M_alt 'I 4/m m m'
_space_group_IT_number 139
_space_group_name_Hall '-I 4 2'
loop_
_atom_site_label
_atom_site_type_symbol
_atom_site_fract_x
_atom_site_fract_y
_atom_site_fract_z
_atom_site_occupancy
Er1 Er 0.0000 0.0000 0.1563 1
Tm1 Tm 0.0000 0.5000 0.0000 1
Pb1 Pb 0.0000 0.0000 0.3575 1
C1 C 0.0000 0.0000 0.0000 1
```

=====

2.
For BC3, a crystal structure in Alexandria, relaxed with GGA-PBE gives the computed XRD peak list in this record (copper Kα).
No peak broadening, texture or thermal motion is included.

Peak list (6 most intense, 10° ≤ 2θ ≤ 80°, low angle first)
| Position (°2θ) | intensity |
| --- | --- |
| 13.29 | 12 |
| 40.61 | 21 |
| 43.39 | 100 |
| 71.02 | 15 |
| 74.91 | 25 |
| 77.79 | 12 |

Atomic structure:
```
data_BC3
_chemical_formula_sum 'B3 C9'
_cell_length_a 2.5353
_cell_length_b 2.5353
_cell_length_c 13.3284
_cell_angle_alpha 90.00
_cell_angle_beta 90.00
_cell_angle_gamma 120.00
_space_group_name_H-M_alt 'P 3 m 1'
_space_group_IT_number 156
loop_
_space_group_symop_operation_xyz
'x,y,z'
'-y,x-y,z'
'-x+y,-x,z'
'-y,-x,z'
'-x+y,y,z'
'x,x-y,z'
loop_
_atom_site_label
_atom_site_type_symbol
_atom_site_fract_x
_atom_site_fract_y
_atom_site_fract_z
_atom_site_occupancy
B1 B 0.0000 0.0000 0.0000 1
B2 B 0.0000 0.0000 0.1270 1
B3 B 0.3333 0.6667 0.2110 1
C1 C 0.0000 0.0000 0.5234 1
C2 C 0.0000 0.0000 0.6395 1
C3 C 0.3333 0.6667 0.3295 1
C4 C 0.3333 0.6667 0.6783 1
C5 C 0.3333 0.6667 0.7939 1
C6 C 0.6667 0.3333 0.3687 1
C7 C 0.6667 0.3333 0.4848 1
C8 C 0.6667 0.3333 0.8342 1
C9 C 0.6667 0.3333 0.9465 1
```

=====

3.
For LiHo3Sc3Te8, a crystal structure in Alexandria, relaxed with GGA-PBE gives the computed XRD peak list in this record (copper Kα).
No peak broadening, texture or thermal motion is included.

Peak list (6 most intense, 10° ≤ 2θ ≤ 80°, low angle first)
| Position (°2θ) | intensity |
| --- | --- |
| 29.84 | 100 |
| 42.71 | 74 |
| 52.97 | 26 |
| 61.99 | 12 |
| 70.31 | 33 |
| 78.24 | 18 |

Atomic structure:
```
data_LiHo3Sc3Te8
_chemical_formula_sum 'Li3 Ho9 Sc9 Te24'
_cell_length_a 8.4626
_cell_length_b 8.4626
_cell_length_c 20.7697
_cell_angle_alpha 90.00
_cell_angle_beta 90.00
_cell_angle_gamma 120.00
_space_group_name_H-M_alt 'R -3 m'
_space_group_IT_number 166
_space_group_name_Hall '-R 3 2"'
loop_
_atom_site_label
_atom_site_type_symbol
_atom_site_fract_x
_atom_site_fract_y
_atom_site_fract_z
_atom_site_occupancy
Li1 Li 0.0000 0.0000 0.0000 1
Ho1 Ho 0.0000 0.5000 0.5000 1
Sc1 Sc 0.0000 0.5000 0.0000 1
Te1 Te 0.0000 0.0000 0.2544 1
Te2 Te 0.0066 0.5033 0.2525 1
```

=====

4.
For Cd2Pd4Pb, a crystal structure in Alexandria, relaxed with GGA-PBE gives the computed XRD peak list in this record (copper Kα).
No peak broadening, texture or thermal motion is included.

Peak list (6 most intense, 10° ≤ 2θ ≤ 80°, low angle first)
| Position (°2θ) | intensity |
| --- | --- |
| 19.79 | 33 |
| 33.26 | 19 |
| 37.77 | 60 |
| 40.21 | 100 |
| 54.48 | 20 |
| 69.84 | 38 |

Atomic structure:
```
data_Cd2Pd4Pb
_chemical_formula_sum 'Cd4 Pd8 Pb2'
_cell_length_a 6.7368
_cell_length_b 6.7368
_cell_length_c 6.0120
_cell_angle_alpha 90.00
_cell_angle_beta 90.00
_cell_angle_gamma 90.00
_space_group_name_H-M_alt 'I 4/m m m'
_space_group_IT_number 139
_space_group_name_Hall '-I 4 2'
loop_
_atom_site_label
_atom_site_type_symbol
_atom_site_fract_x
_atom_site_fract_y
_atom_site_fract_z
_atom_site_occupancy
Cd1 Cd 0.0000 0.5000 0.0000 1
Pd1 Pd 0.2500 0.2500 0.2500 1
Pb1 Pb 0.0000 0.0000 0.0000 1
```

=====

5.
For CaCoS2Cl, a crystal structure in Alexandria, relaxed with GGA-PBE gives the computed XRD peak list in this record (copper Kα).
No peak broadening, texture or thermal motion is included.

Peak list (6 most intense, 10° ≤ 2θ ≤ 80°, low angle first)
| Position (°2θ) | intensity |
| --- | --- |
| 19.69 | 51 |
| 27.21 | 65 |
| 33.81 | 52 |
| 37.68 | 60 |
| 40.00 | 100 |
| 56.12 | 67 |

Atomic structure:
```
data_CaCoS2Cl
_chemical_formula_sum 'Ca1 Co1 S2 Cl1'
_cell_length_a 4.5083
_cell_length_b 4.5083
_cell_length_c 4.7743
_cell_angle_alpha 90.00
_cell_angle_beta 90.00
_cell_angle_gamma 90.00
_space_group_name_H-M_alt 'P 4/m m m'
_space_group_IT_number 123
_space_group_name_Hall '-P 4 2'
loop_
_atom_site_label
_atom_site_type_symbol
_atom_site_fract_x
_atom_site_fract_y
_atom_site_fract_z
_atom_site_occupancy
Ca1 Ca 0.0000 0.0000 0.0000 1
Co1 Co 0.5000 0.5000 0.5000 1
S1 S 0.0000 0.5000 0.5000 1
Cl1 Cl 0.5000 0.5000 0.0000 1
```

=====

6.
For Sr2Si2Au5, a crystal structure in Alexandria, relaxed with GGA-PBE gives the computed XRD peak list in this record (copper Kα).
No peak broadening, texture or thermal motion is included.

Peak list (6 most intense, 10° ≤ 2θ ≤ 80°, low angle first)
| Position (°2θ) | intensity |
| --- | --- |
| 33.79 | 100 |
| 38.87 | 39 |
| 39.92 | 15 |
| 56.94 | 21 |
| 67.15 | 28 |
| 68.60 | 14 |

Atomic structure:
```
data_Sr2Si2Au5
_chemical_formula_sum 'Sr2 Si2 Au5'
_cell_length_a 4.6343
_cell_length_b 4.6343
_cell_length_c 9.0330
_cell_angle_alpha 90.00
_cell_angle_beta 90.00
_cell_angle_gamma 90.00
_space_group_name_H-M_alt 'P 4/m m m'
_space_group_IT_number 123
_space_group_name_Hall '-P 4 2'
loop_
_atom_site_label
_atom_site_type_symbol
_atom_site_fract_x
_atom_site_fract_y
_atom_site_fract_z
_atom_site_occupancy
Sr1 Sr 0.0000 0.0000 0.0000 1
Sr2 Sr 0.0000 0.0000 0.5000 1
Si1 Si 0.5000 0.5000 0.1403 1
Au1 Au 0.0000 0.5000 0.2546 1
Au2 Au 0.5000 0.5000 0.5000 1
```

=====

7.
For FeBr, a crystal structure in Alexandria, relaxed with GGA-PBE gives the computed XRD peak list in this record (copper Kα).
No peak broadening, texture or thermal motion is included.

Peak list (6 most intense, 10° ≤ 2θ ≤ 80°, low angle first)
| Position (°2θ) | intensity |
| --- | --- |
| 17.21 | 47 |
| 24.44 | 55 |
| 26.94 | 74 |
| 29.65 | 53 |
| 34.83 | 31 |
| 46.38 | 100 |

Atomic structure:
```
data_FeBr
_chemical_formula_sum 'Fe4 Br4'
_cell_length_a 7.2852
_cell_length_b 7.2852
_cell_length_c 3.7153
_cell_angle_alpha 90.00
_cell_angle_beta 90.00
_cell_angle_gamma 90.00
_space_group_name_H-M_alt 'P 42/m n m'
_space_group_IT_number 136
_space_group_name_Hall '-P 4n 2n'
loop_
_atom_site_label
_atom_site_type_symbol
_atom_site_fract_x
_atom_site_fract_y
_atom_site_fract_z
_atom_site_occupancy
Fe1 Fe 0.1068 0.1068 0.0000 1
Br1 Br 0.2246 0.7754 0.0000 1
```

=====

8.
For TlFeHg2, a crystal structure in Alexandria, relaxed with GGA-PBE gives the computed XRD peak list in this record (copper Kα).
No peak broadening, texture or thermal motion is included.

Peak list (6 most intense, 10° ≤ 2θ ≤ 80°, low angle first)
| Position (°2θ) | intensity |
| --- | --- |
| 28.55 | 78 |
| 28.84 | 77 |
| 36.82 | 73 |
| 37.82 | 100 |
| 37.97 | 98 |
| 48.04 | 54 |

Atomic structure:
```
data_TlFeHg2
_chemical_formula_sum 'Tl2 Fe2 Hg4'
_cell_length_a 13.0111
_cell_length_b 3.0412
_cell_length_c 4.8821
_cell_angle_alpha 90.00
_cell_angle_beta 111.47
_cell_angle_gamma 90.00
_space_group_name_H-M_alt 'C 1 2/m 1'
_space_group_IT_number 12
loop_
_space_group_symop_operation_xyz
'x,y,z'
'-x,-y,-z'
'-x,y,-z'
'x,-y,z'
'x+1/2,y+1/2,z'
'-x+1/2,-y+1/2,-z'
'-x+1/2,y+1/2,-z'
'x+1/2,-y+1/2,z'
loop_
_atom_site_label
_atom_site_type_symbol
_atom_site_fract_x
_atom_site_fract_y
_atom_site_fract_z
_atom_site_occupancy
Tl1 Tl 0.0000 0.0000 0.0000 1
Fe1 Fe 0.0000 0.5000 0.5000 1
Hg1 Hg 0.1935 0.0000 0.6946 1
```